For Cs3SrCu2C7S7N7, a PBE-relaxed structure gives the simulated PXRD pattern in this record (Cu Kα (weighted mean of Kα1 and Kα2)).
Intensities are scaled so that the largest is 1000.

Structural model:
abc: 12.5237 12.5237 12.5237
angles: 128.67 128.67 75.54
Fractional coordinates of all 54 atoms:
Cs1 0.0000 0.5000 0.5000
Cs2 0.0359 0.5651 0.0000
Cs3 0.4349 0.4349 0.4708
Cs4 0.5000 0.0000 0.5000
Cs5 0.5651 0.0359 0.0000
Cs6 0.9641 0.9641 0.5292
Sr1 0.4043 0.4043 0.0000
Sr2 0.5957 0.5957 0.0000
Cu1 0.0496 0.0496 0.2965
Cu2 0.2469 0.9504 0.0000
Cu3 0.7531 0.7531 0.7035
Cu4 0.9504 0.2469 0.0000
C1 0.0376 0.2790 0.6095
C2 0.2067 0.2067 0.0000
C3 0.2790 0.0376 0.6095
C4 0.2849 0.7051 0.0000
C5 0.2949 0.2949 0.5798
C6 0.3304 0.7210 0.7585
C7 0.4281 0.6696 0.3905
C8 0.5719 0.9624 0.2415
C9 0.6696 0.4281 0.3905
C10 0.7051 0.2849 0.0000
C11 0.7151 0.7151 0.4202
C12 0.7210 0.3304 0.7585
C13 0.7933 0.7933 0.0000
C14 0.9624 0.5719 0.2415
S1 0.0823 0.4792 0.2524
S2 0.1230 0.1230 0.0000
S3 0.1685 0.8017 0.0000
S4 0.1701 0.9177 0.3970
S5 0.1983 0.1983 0.3669
S6 0.2268 0.8299 0.7476
S7 0.4792 0.0823 0.2524
S8 0.5208 0.7732 0.6030
S9 0.7732 0.5208 0.6030
S10 0.8017 0.1685 0.0000
S11 0.8299 0.2268 0.7476
S12 0.8315 0.8315 0.6331
S13 0.8770 0.8770 0.0000
S14 0.9177 0.1701 0.3970
N1 0.1247 0.3580 0.7630
N2 0.2664 0.2664 0.0000
N3 0.3580 0.1247 0.7630
N4 0.3617 0.5950 0.2370
N5 0.3668 0.3668 0.7336
N6 0.3668 0.6332 0.0000
N7 0.4050 0.6420 0.7667
N8 0.5950 0.3617 0.2370
N9 0.6332 0.3668 0.0000
N10 0.6332 0.6332 0.2664
N11 0.6383 0.8753 0.2333
N12 0.6420 0.4050 0.7667
N13 0.7336 0.7336 0.0000
N14 0.8753 0.6383 0.2333

Peak list (8 most intense, 2θ = 10–80°, low angle first)
18.65 deg, intensity 640
21.36 deg, intensity 577
23.19 deg, intensity 631
27.52 deg, intensity 847
29.47 deg, intensity 1000
31.74 deg, intensity 655
38.20 deg, intensity 391
51.98 deg, intensity 236